No. 1
The following is a calculated powder diffraction line list of Li4MnCo2O7. It was derived from a crystal structure in Alexandria, relaxed with GGA+U, using Cu Kα X-rays.
Neutral-atom scattering factors, no anomalous dispersion.

Largest 10 diffraction maxima, by angle, 15° ≤ 2θ ≤ 90°:
- 18.4°, I 100
- 36.4°, I 37
- 43.9°, I 54
- 44.1°, I 25
- 48.2°, I 8
- 57.7°, I 10
- 63.6°, I 14
- 64.3°, I 13
- 64.5°, I 8
- 67.7°, I 9

Structural model:
Unit cell a=10.645 b=10.645 c=8.218 alpha=101.89 beta=101.89 gamma=15.60
Sites, in units of the cell vectors:
Li 0.000 0.000 0.000
Li 0.002 0.002 0.509
Li 0.137 0.137 0.066
Li 0.284 0.284 0.652
Li 0.428 0.428 0.198
Li 0.564 0.564 0.801
Li 0.711 0.711 0.355
Li 0.856 0.856 0.935
Mn 0.569 0.569 0.279
Mn 0.855 0.855 0.428
Co 0.142 0.142 0.584
Co 0.284 0.284 0.142
Co 0.431 0.431 0.742
Co 0.714 0.714 0.864
O 0.007 0.007 0.258
O 0.136 0.136 0.328
O 0.150 0.150 0.826
O 0.277 0.277 0.905
O 0.290 0.290 0.383
O 0.416 0.416 0.451
O 0.422 0.422 0.954
O 0.572 0.572 0.058
O 0.575 0.575 0.528
O 0.710 0.710 0.622
O 0.721 0.721 0.102
O 0.847 0.847 0.185
O 0.856 0.856 0.654
O 0.994 0.994 0.744

---

No. 2
The following is a calculated powder diffraction line list of Li4MnCo2O7. It was derived from a crystal structure in Alexandria, relaxed with GGA+U, using Cu Kα X-rays.
Neutral-atom scattering factors, no anomalous dispersion.

Largest 10 diffraction maxima, by angle, 15° ≤ 2θ ≤ 90°:
- 18.3°, I 100
- 34.9°, I 16
- 35.9°, I 14
- 36.8°, I 12
- 41.9°, I 32
- 43.5°, I 29
- 44.9°, I 25
- 61.9°, I 8
- 62.0°, I 8
- 64.7°, I 9

Structural model:
Unit cell a=2.994 b=9.776 c=9.823 alpha=116.54 beta=91.92 gamma=97.36
Sites, in units of the cell vectors:
Li 0.000 0.000 0.000
Li 0.042 0.132 0.798
Li 0.195 0.413 0.357
Li 0.339 0.711 0.935
Li 0.511 0.996 0.497
Li 0.619 0.265 0.071
Li 0.766 0.561 0.642
Li 0.926 0.852 0.217
Mn 0.405 0.852 0.726
Mn 0.848 0.700 0.429
Co 0.131 0.275 0.570
Co 0.291 0.559 0.139
Co 0.561 0.128 0.276
Co 0.709 0.418 0.854
O 0.003 0.074 0.398
O 0.123 0.199 0.191
O 0.191 0.360 0.966
O 0.228 0.479 0.744
O 0.274 0.642 0.541
O 0.426 0.765 0.319
O 0.464 0.939 0.130
O 0.512 0.050 0.882
O 0.608 0.216 0.681
O 0.650 0.327 0.456
O 0.773 0.499 0.247
O 0.813 0.624 0.030
O 0.884 0.787 0.812
O 0.918 0.902 0.617

---

No. 3
The following is a calculated powder diffraction line list of Li7Mn4CoO12. It was derived from a crystal structure in Alexandria, relaxed with GGA+U, using Cu Kα X-rays.
Neutral-atom scattering factors, no anomalous dispersion.

Largest 10 diffraction maxima, by angle, 15° ≤ 2θ ≤ 90°:
- 18.4°, I 100
- 34.8°, I 19
- 36.3°, I 23
- 42.2°, I 32
- 44.0°, I 57
- 47.5°, I 13
- 58.0°, I 10
- 62.4°, I 15
- 62.8°, I 16
- 64.8°, I 8

Structural model:
Unit cell a=7.952 b=7.952 c=11.766 alpha=124.09 beta=124.09 gamma=20.86
Sites, in units of the cell vectors:
Li 0.000 0.000 0.000
Li 0.002 0.002 0.753
Li 0.006 0.006 0.510
Li 0.333 0.333 0.007
Li 0.345 0.345 0.509
Li 0.654 0.654 0.993
Li 0.673 0.673 0.503
Mn 0.005 0.005 0.256
Mn 0.333 0.333 0.253
Mn 0.342 0.342 0.758
Mn 0.664 0.664 0.751
Co 0.669 0.669 0.253
O 0.162 0.162 0.138
O 0.171 0.171 0.866
O 0.176 0.176 0.369
O 0.179 0.179 0.648
O 0.484 0.484 0.869
O 0.499 0.499 0.138
O 0.510 0.510 0.373
O 0.522 0.522 0.640
O 0.827 0.827 0.861
O 0.828 0.828 0.136
O 0.834 0.834 0.642
O 0.840 0.840 0.372

---

No. 4
The following is a calculated powder diffraction line list of Li4MnCo2O7. It was derived from a crystal structure in Alexandria, relaxed with GGA+U, using Cu Kα X-rays.
Neutral-atom scattering factors, no anomalous dispersion.

Largest 10 diffraction maxima, by angle, 15° ≤ 2θ ≤ 90°:
- 18.6°, I 100
- 36.5°, I 26
- 36.9°, I 12
- 38.3°, I 10
- 44.1°, I 54
- 44.7°, I 25
- 48.5°, I 7
- 58.1°, I 9
- 64.2°, I 14
- 65.0°, I 14

Structural model:
Unit cell a=5.067 b=5.067 c=17.155 alpha=95.46 beta=95.46 gamma=33.12
Sites, in units of the cell vectors:
Li 0.000 0.000 0.000
Li 0.002 0.002 0.495
Li 0.144 0.144 0.285
Li 0.290 0.290 0.559
Li 0.435 0.435 0.857
Li 0.576 0.576 0.143
Li 0.718 0.718 0.432
Li 0.862 0.862 0.713
Mn 0.578 0.578 0.637
Mn 0.718 0.718 0.929
Co 0.142 0.142 0.785
Co 0.293 0.293 0.072
Co 0.429 0.429 0.357
Co 0.859 0.859 0.213
O 0.052 0.052 0.384
O 0.077 0.077 0.889
O 0.204 0.204 0.681
O 0.233 0.233 0.177
O 0.358 0.358 0.968
O 0.360 0.360 0.451
O 0.483 0.483 0.249
O 0.519 0.519 0.749
O 0.647 0.647 0.543
O 0.665 0.665 0.035
O 0.770 0.770 0.822
O 0.804 0.804 0.317
O 0.916 0.916 0.109
O 0.951 0.951 0.611

---

Please write out number 4 again, unchanged.
The following is a calculated powder diffraction line list of Li4MnCo2O7. It was derived from a crystal structure in Alexandria, relaxed with GGA+U, using Cu Kα X-rays.
Neutral-atom scattering factors, no anomalous dispersion.

Largest 10 diffraction maxima, by angle, 15° ≤ 2θ ≤ 90°:
- 18.6°, I 100
- 36.5°, I 26
- 36.9°, I 12
- 38.3°, I 10
- 44.1°, I 54
- 44.7°, I 25
- 48.5°, I 7
- 58.1°, I 9
- 64.2°, I 14
- 65.0°, I 14

Structural model:
Unit cell a=5.067 b=5.067 c=17.155 alpha=95.46 beta=95.46 gamma=33.12
Sites, in units of the cell vectors:
Li 0.000 0.000 0.000
Li 0.002 0.002 0.495
Li 0.144 0.144 0.285
Li 0.290 0.290 0.559
Li 0.435 0.435 0.857
Li 0.576 0.576 0.143
Li 0.718 0.718 0.432
Li 0.862 0.862 0.713
Mn 0.578 0.578 0.637
Mn 0.718 0.718 0.929
Co 0.142 0.142 0.785
Co 0.293 0.293 0.072
Co 0.429 0.429 0.357
Co 0.859 0.859 0.213
O 0.052 0.052 0.384
O 0.077 0.077 0.889
O 0.204 0.204 0.681
O 0.233 0.233 0.177
O 0.358 0.358 0.968
O 0.360 0.360 0.451
O 0.483 0.483 0.249
O 0.519 0.519 0.749
O 0.647 0.647 0.543
O 0.665 0.665 0.035
O 0.770 0.770 0.822
O 0.804 0.804 0.317
O 0.916 0.916 0.109
O 0.951 0.951 0.611